Computed X-ray diffraction stick pattern of Rb2TmSO6 for Cu Kα (weighted mean of Kα1 and Kα2), from a structure optimized by DFT (PBE).

Structural model:
a = 6.3768 Å, b = 6.3768 Å, c = 5.4960 Å
α = 90.00°, β = 90.00°, γ = 120.00°
Atoms (fractional coordinates):
Rb 0.3333 0.6667 0.3750
Rb 0.6667 0.3333 0.6250
Tm 0.0000 0.0000 0.0000
S 0.0000 0.0000 0.5000
O 0.1247 0.2493 0.6808
O 0.1247 0.8753 0.6808
O 0.2493 0.1247 0.3192
O 0.7507 0.8753 0.6808
O 0.8753 0.1247 0.3192
O 0.8753 0.7507 0.3192

Top 10 peaks for 10° ≤ 2θ ≤ 90°, sorted by position:
| hkl | 2theta | I/Imax |
| --- | --- | --- |
| 1 0 0 | 16.05 | 84.5 |
| 0 1 1 | 22.83 | 96.8 |
| 1 1 0 | 27.98 | 100.0 |
| 2 0 1 | 36.41 | 54.5 |
| 1 0 2 | 36.52 | 36.6 |
| 1 1 2 | 43.47 | 20.1 |
| 0 2 2 | 46.58 | 69.4 |
| 2 1 2 | 55.27 | 27.9 |
| 3 1 1 | 63.00 | 17.3 |
| 1 3 2 | 70.35 | 21.0 |